Computed powder XRD pattern of V3InO8 for CuKα, from a cell relaxed with GGA+U.

a = 12.444 Å, b = 3.833 Å, c = 6.790 Å
α = 90.00°, β = 106.71°, γ = 90.00°
Space group Cm (No. 8)
Asymmetric unit:
1 V 0.000 0.000 0.000
2 V 0.089 0.000 0.571
3 V 0.287 0.500 0.550
4 In 0.203 0.500 0.975
5 O 0.020 0.500 0.973
6 O 0.033 0.000 0.259
7 O 0.135 0.500 0.606
8 O 0.140 0.000 0.901
9 O 0.254 0.000 0.586
10 O 0.264 0.500 0.291
11 O 0.353 0.500 0.893
12 O 0.454 0.500 0.599

Top 8 peaks for 2θ = 10–90°, in order of rising 2θ:
2θ/deg	d/Å	I/Imax	index
13.62	6.503	61	0 0 1
14.87	5.959	73	2 0 0
24.40	3.649	100	1 1 0
27.43	3.252	69	0 0 2
29.14	3.065	67	4 0 -1
32.46	2.758	43	3 1 0
35.32	2.541	31	1 1 -2
47.44	1.916	36	0 2 0